Entry 1:
Simulated powder diffractogram of Rb2MoO4 for λ = 1.5418 Å (Cu Kα), from a GGA+U-relaxed structure.
Neutral-atom scattering factors, no anomalous dispersion.

```
data_Rb2MoO4
_chemical_formula_sum 'Rb8 Mo4 O16'
_symmetry_space_group_name_H-M 'P n m a'
_symmetry_Int_Tables_number 62
_cell_length_a 8.2796
_cell_length_b 6.4802
_cell_length_c 11.4361
_cell_angle_alpha 90.00
_cell_angle_beta 90.00
_cell_angle_gamma 90.00
loop_
_symmetry_equiv_pos_as_xyz
'x,y,z'
'-x,-y,-z'
'-x+1/2,-y,z+1/2'
'x+1/2,y,-z+1/2'
'x+1/2,-y+1/2,-z+1/2'
'-x+1/2,y+1/2,z+1/2'
'-x,y+1/2,-z'
'x,-y+1/2,z'
loop_
_atom_site_label
_atom_site_type_symbol
_atom_site_fract_x
_atom_site_fract_y
_atom_site_fract_z
Rb1 Rb 0.0009 0.2500 0.2103
Rb2 Rb 0.1697 0.7500 0.4209
Mo1 Mo 0.2192 0.7500 0.0798
O1 O 0.0034 0.7500 0.0686
O2 O 0.1882 0.2500 0.4365
O3 O 0.2159 0.0228 0.6574
```

Top 10 peaks for 2θ = 5–70°, in order of rising 2θ:
2θ/deg	Rel. int.	(hkl)
25.53	172	2 1 0
26.58	308	2 0 2
26.72	668	2 1 1
27.14	1000	0 1 3
27.53	578	0 2 0
31.91	148	2 0 3
36.03	157	1 1 4
38.64	311	2 2 2
42.64	139	2 2 3
48.44	191	0 3 3


Entry 2:
Simulated powder diffractogram of Na6Co2PC4O16 for λ = 1.5418 Å (Cu Kα), from a GGA+U-relaxed structure.
Neutral-atom scattering factors, no anomalous dispersion.

Cell: 13.9553 13.9553 13.9553 Å, 90.00 90.00 90.00°
Space group Fd-3 (No. 203, origin choice 2)
Asymmetric unit:
Na  0.0836  0.3750  0.3750 x48
Co  0.0000  0.0000  0.5000 x16
P  0.1250  0.1250  0.1250 x8
C  0.0343  0.0343  0.7157 x32
O  0.0207  0.2751  0.6046 x96
O  0.0605  0.0605  0.0605 x32

Top 10 peaks for 2θ = 5–70°, in order of rising 2θ:
2θ/deg	Rel. int.	(hkl)
10.98	322	1 1 1
21.11	838	3 1 1
33.36	1000	5 1 1
36.42	586	4 4 0
38.15	197	5 3 1
42.99	192	6 2 2
46.47	215	7 1 1
57.16	324	5 5 5
57.58	192	6 6 2
69.70	142	9 5 1


Entry 3:
Simulated powder diffractogram of Li9Mn2Co5O16 for λ = 1.5418 Å (Cu Kα), from a GGA+U-relaxed structure.
Neutral-atom scattering factors, no anomalous dispersion.

```
data_Li9Mn2Co5O16
_chemical_formula_sum 'Li18 Mn4 Co10 O32'
_symmetry_space_group_name_H-M 'C 1 2/m 1'
_symmetry_Int_Tables_number 12
_cell_length_a 10.3971
_cell_length_b 11.5320
_cell_length_c 5.0918
_cell_angle_alpha 90.00
_cell_angle_beta 111.47
_cell_angle_gamma 90.00
loop_
_symmetry_equiv_pos_as_xyz
'x,y,z'
'-x,-y,-z'
'-x,y,-z'
'x,-y,z'
'x+1/2,y+1/2,z'
'-x+1/2,-y+1/2,-z'
'-x+1/2,y+1/2,-z'
'x+1/2,-y+1/2,z'
loop_
_atom_site_label
_atom_site_type_symbol
_atom_site_fract_x
_atom_site_fract_y
_atom_site_fract_z
Li1 Li 0.0000 0.0000 0.0000
Li2 Li 0.2355 0.0000 0.4834
Li3 Li 0.2378 0.1240 0.0011
Li4 Li 0.2500 0.2500 0.5000
Mn1 Mn 0.0000 0.3731 0.5000
Co1 Co 0.0000 0.1211 0.5000
Co2 Co 0.0000 0.2476 0.0000
Co3 Co 0.0000 0.5000 0.0000
O1 O 0.1031 0.3774 0.2471
O2 O 0.1083 0.5000 0.7471
O3 O 0.1126 0.1351 0.2432
O4 O 0.1180 0.2580 0.7304
O5 O 0.1234 0.0000 0.7276
```

Top 10 peaks for 2θ = 5–70°, in order of rising 2θ:
2θ/deg	Rel. int.	(hkl)
11.94	76	1 1 0
18.34	1000	2 0 0
35.57	142	2 0 -2
36.48	249	0 4 1
42.53	290	4 0 -2
44.33	514	2 4 1
47.40	89	4 4 -1
58.33	94	4 4 1
62.56	144	6 4 -1
63.66	147	2 4 -3